No. 1
Starting from a GGA-PBE-relaxed structure, the X-ray diffraction stick pattern of Tb5Ho12Tl2 was simulated for Cu Kα.
Kinematic intensities with the Lorentz-polarization factor, no thermal factor.

Largest 10 diffraction maxima, in order of rising 2θ, 2θ from 10° to 80°:
(hkl)	two_theta	intensity
3 1 2	29.82	16
2 2 -2	30.97	39
1 3 -1	31.30	17
1 3 1	31.41	24
4 0 2	32.33	100
1 1 -3	34.30	33
3 3 1	35.72	28
1 3 -2	36.60	14
3 3 4	56.97	16
5 5 -1	58.93	18

Atomic structure:
```
data_Tb5Ho12Tl2
_chemical_formula_sum 'Tb10 Ho24 Tl4'
_symmetry_space_group_name_H-M 'C 1 2/m 1'
_symmetry_Int_Tables_number 12
_cell_length_a 15.3457
_cell_length_b 9.3073
_cell_length_c 8.2605
_cell_angle_alpha 90.00
_cell_angle_beta 91.76
_cell_angle_gamma 90.00
loop_
_symmetry_equiv_pos_as_xyz
'x,y,z'
'-x,-y,-z'
'-x,y,-z'
'x,-y,z'
'x+1/2,y+1/2,z'
'-x+1/2,-y+1/2,-z'
'-x+1/2,y+1/2,-z'
'x+1/2,-y+1/2,z'
loop_
_atom_site_label
_atom_site_fract_x
_atom_site_fract_y
_atom_site_fract_z
Tb1 0.0000 0.0000 0.0000
Tb2 0.1885 0.5000 0.5040
Tb3 0.2347 0.0000 0.0816
Ho1 0.0528 0.5000 0.8211
Ho2 0.0854 0.0000 0.3846
Ho3 0.1252 0.3045 0.1576
Ho4 0.1501 0.1846 0.7368
Tl1 0.0000 0.3120 0.5000
```

No. 2
Starting from a GGA-PBE-relaxed structure, the X-ray diffraction stick pattern of Tb4Ho3Tl4 was simulated for Cu Kα.
Kinematic intensities with the Lorentz-polarization factor, no thermal factor.

Largest 10 diffraction maxima, in order of rising 2θ, 2θ from 10° to 80°:
(hkl)	two_theta	intensity
1 2 1	31.30	100
0 3 3	31.81	72
1 1 4	32.41	92
1 0 5	34.16	46
0 2 6	34.29	60
1 3 2	38.95	39
1 2 7	46.07	36
2 0 0	49.86	27
1 5 4	58.39	40
1 2 11	63.08	28

Atomic structure:
```
data_Tb4Ho3Tl4
_chemical_formula_sum 'Tb8 Ho6 Tl8'
_symmetry_space_group_name_H-M 'I m m m'
_symmetry_Int_Tables_number 71
_symmetry_space_group_name_Hall '-I 2 2'
_cell_length_a 3.6580
_cell_length_b 9.4398
_cell_length_c 18.8453
_cell_angle_alpha 90.00
_cell_angle_beta 90.00
_cell_angle_gamma 90.00
loop_
_atom_site_label
_atom_site_fract_x
_atom_site_fract_y
_atom_site_fract_z
Tb1 0.0000 0.1849 0.1619
Ho1 0.0000 0.0000 0.4037
Ho2 0.0000 0.5000 0.5000
Tl1 0.0000 0.2804 0.0000
Tl2 0.0000 0.5000 0.2297
```

No. 3
Starting from a GGA-PBE-relaxed structure, the X-ray diffraction stick pattern of TbHo2Tl2 was simulated for Cu Kα.
Kinematic intensities with the Lorentz-polarization factor, no thermal factor.

Largest 10 diffraction maxima, in order of rising 2θ, 2θ from 10° to 80°:
(hkl)	two_theta	intensity
0 0 5	32.03	25
1 1 2	33.21	100
0 2 0	33.33	26
0 2 5	46.90	17
2 0 -1	48.45	9
1 1 7	57.85	16
2 0 4	59.27	9
1 3 2	59.49	19
2 2 -1	60.08	10
2 2 4	69.72	11

Atomic structure:
```
data_TbHo2Tl2
_chemical_formula_sum 'Tb2 Ho4 Tl4'
_symmetry_space_group_name_H-M 'P 1 21/m 1'
_symmetry_Int_Tables_number 11
_cell_length_a 3.7573
_cell_length_b 5.3769
_cell_length_c 14.0986
_cell_angle_alpha 90.00
_cell_angle_beta 97.68
_cell_angle_gamma 90.00
loop_
_symmetry_equiv_pos_as_xyz
'x,y,z'
'-x,-y,-z'
'-x,y+1/2,-z'
'x,-y+1/2,z'
loop_
_atom_site_label
_atom_site_fract_x
_atom_site_fract_y
_atom_site_fract_z
Tb1 0.1483 0.2500 0.2989
Ho1 0.0496 0.7500 0.0988
Ho2 0.2380 0.7500 0.4755
Tl1 0.3560 0.2500 0.7102
Tl2 0.4508 0.7500 0.9031
```